Entry 1:
This entry pairs a crystal structure of CuHgSBr with its computed PXRD pattern. Radiation: Cu Kα. Structure: a GGA-PBE-relaxed structure.

Structure:
```
CuHgSBr
1.0
10.129 0.000 0.000
0.000 19.112 0.000
0.000 0.000 4.107
Cu Hg S Br
8 8 8 8
direct
0.069 0.153 0.000
0.071 0.649 0.000
0.429 0.149 0.000
0.431 0.653 0.000
0.569 0.347 0.000
0.571 0.851 0.000
0.929 0.351 0.000
0.931 0.847 0.000
0.000 0.000 0.500
0.000 0.500 0.500
0.250 0.363 0.500
0.250 0.863 0.500
0.500 0.000 0.500
0.500 0.500 0.500
0.750 0.137 0.500
0.750 0.637 0.500
0.009 0.872 0.500
0.010 0.372 0.500
0.490 0.872 0.500
0.491 0.372 0.500
0.509 0.628 0.500
0.510 0.128 0.500
0.990 0.628 0.500
0.991 0.128 0.500
0.249 0.736 0.000
0.250 0.019 0.000
0.250 0.519 0.000
0.251 0.236 0.000
0.749 0.764 0.000
0.750 0.481 0.000
0.750 0.981 0.000
0.751 0.264 0.000
```

Peak list (10 most intense, 2θ from 15° to 90°, sorted by position)
d [Å]	2θ (°)	Rel. int.
4.475	19.8	25
3.773	23.6	19
3.536	25.2	60
3.185	28.0	49
3.026	29.5	31
2.653	33.8	100
2.532	35.5	27
2.389	37.7	21
2.054	44.1	23
1.785	51.2	24

***

Entry 2:
This entry pairs a crystal structure of SnH4Cl4O2 with its computed PXRD pattern. Radiation: Cu Kα. Structure: a GGA-PBE-relaxed structure.

Structure:
```
SnH4Cl4O2
1.0
9.716 0.000 0.000
0.000 7.819 0.000
0.000 0.000 11.571
Sn H Cl O
4 16 16 8
direct
0.000 0.074 0.250
0.000 0.926 0.750
0.500 0.426 0.750
0.500 0.574 0.250
0.021 0.183 0.572
0.021 0.817 0.072
0.169 0.172 0.635
0.169 0.828 0.135
0.331 0.328 0.135
0.331 0.672 0.635
0.479 0.317 0.072
0.479 0.683 0.572
0.521 0.317 0.428
0.521 0.683 0.928
0.669 0.328 0.365
0.669 0.672 0.865
0.831 0.172 0.865
0.831 0.828 0.365
0.979 0.183 0.928
0.979 0.817 0.428
0.085 0.276 0.105
0.085 0.724 0.605
0.215 0.033 0.342
0.215 0.967 0.842
0.285 0.467 0.842
0.285 0.533 0.342
0.415 0.224 0.605
0.415 0.776 0.105
0.585 0.224 0.895
0.585 0.776 0.395
0.715 0.467 0.658
0.715 0.533 0.158
0.785 0.033 0.158
0.785 0.967 0.658
0.915 0.276 0.395
0.915 0.724 0.895
0.070 0.149 0.642
0.070 0.851 0.142
0.430 0.351 0.142
0.430 0.649 0.642
0.570 0.351 0.358
0.570 0.649 0.858
0.930 0.149 0.858
0.930 0.851 0.358
```

Peak list (10 most intense, 2θ from 15° to 90°, sorted by position)
d [Å]	2θ (°)	Rel. int.
5.785	15.3	70
5.390	16.4	67
4.858	18.3	31
4.195	21.2	100
3.239	27.5	24
3.073	29.1	32
2.826	31.7	31
2.390	37.6	24
2.108	42.9	32
1.792	50.9	30

***

Entry 3:
This entry pairs a crystal structure of Ba2ZrInO6 with its computed PXRD pattern. Radiation: Cu Kα. Structure: a GGA-PBE-relaxed structure.

Structure:
```
Ba2ZrInO6
1.0
0.000 4.281 4.281
4.281 0.000 4.281
4.281 4.281 0.000
Ba Zr In O
2 1 1 6
direct
0.250 0.250 0.250
0.750 0.750 0.750
0.000 0.000 0.000
0.500 0.500 0.500
0.246 0.246 0.754
0.246 0.754 0.246
0.246 0.754 0.754
0.754 0.246 0.246
0.754 0.246 0.754
0.754 0.754 0.246
```

Peak list (9 most intense, 2θ from 15° to 90°, sorted by position)
d [Å]	2θ (°)	Rel. int.
3.027	29.5	100
2.472	36.3	5
2.141	42.2	31
1.748	52.3	40
1.514	61.2	19
1.354	69.4	18
1.291	73.3	1
1.236	77.2	6
1.144	84.7	21

***

Entry 4:
This entry pairs a crystal structure of Ca5P3ClO12 with its computed PXRD pattern. Radiation: Cu Kα. Structure: a GGA-PBE-relaxed structure.

Structure:
```
Ca5P3ClO12
1.0
9.831 0.000 0.000
-4.916 8.514 0.000
0.000 0.000 6.733
Ca P Cl O
10 6 2 24
direct
0.019 0.754 0.250
0.246 0.264 0.250
0.264 0.019 0.750
0.333 0.667 0.504
0.333 0.667 0.996
0.667 0.333 0.004
0.667 0.333 0.496
0.736 0.981 0.250
0.754 0.736 0.750
0.981 0.246 0.750
0.032 0.411 0.250
0.379 0.968 0.250
0.411 0.379 0.750
0.589 0.621 0.250
0.621 0.032 0.750
0.968 0.589 0.750
0.000 0.000 0.000
0.000 0.000 0.500
0.084 0.354 0.065
0.084 0.354 0.435
0.130 0.595 0.250
0.146 0.648 0.750
0.270 0.916 0.065
0.270 0.916 0.435
0.352 0.498 0.750
0.354 0.270 0.565
0.354 0.270 0.935
0.405 0.535 0.250
0.465 0.870 0.250
0.498 0.146 0.250
0.502 0.854 0.750
0.535 0.130 0.750
0.595 0.465 0.750
0.646 0.730 0.065
0.646 0.730 0.435
0.648 0.502 0.250
0.730 0.084 0.565
0.730 0.084 0.935
0.854 0.352 0.250
0.870 0.405 0.750
0.916 0.646 0.565
0.916 0.646 0.935
```

Peak list (10 most intense, 2θ from 15° to 90°, sorted by position)
d [Å]	2θ (°)	Rel. int.
3.366	26.5	14
2.903	30.8	100
2.838	31.5	75
2.777	32.2	80
2.326	38.7	18
1.985	45.7	43
1.876	48.5	17
1.858	49.0	19
1.841	49.5	27
1.683	54.5	17

***

Entry 5:
This entry pairs a crystal structure of CaTiPO5 with its computed PXRD pattern. Radiation: Cu Kα. Structure: a GGA-PBE-relaxed structure.

Structure:
```
CaTiPO5
1.0
3.368 -4.445 0.000
3.368 4.445 0.000
-2.744 0.000 6.520
Ca Ti P O
2 2 2 10
direct
0.174 0.826 0.750
0.826 0.174 0.250
0.500 0.500 0.000
0.500 0.500 0.500
0.172 0.828 0.250
0.828 0.172 0.750
0.094 0.238 0.909
0.167 0.622 0.370
0.238 0.094 0.409
0.378 0.833 0.130
0.420 0.580 0.750
0.580 0.420 0.250
0.622 0.167 0.870
0.762 0.906 0.591
0.833 0.378 0.630
0.906 0.762 0.091
```

Peak list (10 most intense, 2θ from 15° to 90°, sorted by position)
d [Å]	2θ (°)	Rel. int.
3.256	27.4	100
3.104	28.8	91
2.674	33.5	84
2.629	34.1	56
2.341	38.5	16
2.106	42.9	34
1.758	52.0	22
1.754	52.2	26
1.697	54.0	29
1.508	61.5	19

***

Entry 6:
This entry pairs a crystal structure of Te4Pb5Se with its computed PXRD pattern. Radiation: Cu Kα. Structure: a GGA-PBE-relaxed structure.

Structure:
```
Te4Pb5Se
1.0
-2.294 2.294 16.486
2.294 -2.294 16.486
2.294 2.294 -16.486
Te Pb Se
4 5 1
direct
0.100 0.100 0.000
0.301 0.301 0.000
0.699 0.699 0.000
0.900 0.900 0.000
0.000 0.000 0.000
0.200 0.200 0.000
0.402 0.402 0.000
0.598 0.598 0.000
0.800 0.800 0.000
0.500 0.500 0.000
```

Peak list (10 most intense, 2θ from 15° to 90°, sorted by position)
d [Å]	2θ (°)	Rel. int.
3.766	23.6	21
3.297	27.0	52
3.244	27.5	100
2.312	38.9	80
2.294	39.3	39
1.883	48.3	44
1.470	63.3	19
1.455	64.0	19
1.451	64.2	19
1.328	71.0	28

***

Entry 7:
This entry pairs a crystal structure of K6WN4 with its computed PXRD pattern. Radiation: Cu Kα. Structure: a GGA-PBE-relaxed structure.

Structure:
```
K6WN4
1.0
8.235 0.000 0.000
0.000 8.235 0.000
0.000 0.000 6.768
K W N
12 2 8
direct
0.047 0.547 0.250
0.047 0.953 0.250
0.250 0.250 0.071
0.250 0.250 0.571
0.453 0.547 0.250
0.453 0.953 0.250
0.547 0.047 0.750
0.547 0.453 0.750
0.750 0.750 0.429
0.750 0.750 0.929
0.953 0.047 0.750
0.953 0.453 0.750
0.250 0.750 0.750
0.750 0.250 0.250
0.053 0.750 0.596
0.250 0.553 0.904
0.250 0.947 0.904
0.447 0.750 0.596
0.553 0.250 0.404
0.750 0.053 0.096
0.750 0.447 0.096
0.947 0.250 0.404
```

Peak list (10 most intense, 2θ from 15° to 90°, sorted by position)
d [Å]	2θ (°)	Rel. int.
5.823	15.2	37
5.229	17.0	83
3.384	26.3	23
3.235	27.6	100
2.926	30.6	49
2.912	30.7	46
2.544	35.3	55
2.207	40.9	25
2.064	43.9	25
1.924	47.2	27

***

Entry 8:
This entry pairs a crystal structure of Tb2Ga9Ir3 with its computed PXRD pattern. Radiation: Cu Kα. Structure: a GGA-PBE-relaxed structure.

Structure:
```
Tb2Ga9Ir3
1.0
6.583 -3.803 0.000
6.583 3.803 0.000
0.000 0.000 9.516
Tb Ga Ir
4 18 6
direct
0.003 0.668 0.750
0.332 0.997 0.750
0.668 0.003 0.250
0.997 0.332 0.250
0.001 0.334 0.580
0.001 0.334 0.920
0.127 0.873 0.250
0.333 0.667 0.563
0.333 0.667 0.937
0.334 0.001 0.080
0.334 0.001 0.420
0.339 0.454 0.250
0.454 0.339 0.750
0.546 0.661 0.250
0.661 0.546 0.750
0.666 0.999 0.580
0.666 0.999 0.920
0.667 0.333 0.063
0.667 0.333 0.437
0.873 0.127 0.750
0.999 0.666 0.080
0.999 0.666 0.420
0.000 0.000 0.000
0.000 0.000 0.500
0.329 0.329 0.000
0.329 0.329 0.500
0.671 0.671 0.000
0.671 0.671 0.500
```

Peak list (10 most intense, 2θ from 15° to 90°, sorted by position)
d [Å]	2θ (°)	Rel. int.
2.970	30.1	66
2.436	36.9	74
2.379	37.8	24
2.195	41.1	100
2.017	44.9	31
1.993	45.5	26
1.765	51.8	27
1.613	57.1	24
1.376	68.2	24
1.309	72.2	25